# Pr3Sm4Tm5
Calculated powder diffraction line list, CuKα. Input: a structure optimized by DFT (PBE).
Lines closer than 0.1° are merged.

Cell and atoms:
Lattice parameters (Å, degrees): 6.214 7.176 8.796 89.92 89.90 89.89
Space group P-1 (No. 2)
Asymmetric unit:
Pr 0.000 0.000 0.000
Pr 0.168 0.250 0.333
Sm 0.170 0.750 0.332
Sm 0.332 0.500 0.671
Tm 0.000 0.500 0.000
Tm 0.335 0.000 0.670
Tm 0.499 0.750 0.000

Most intense lines, 10° ≤ 2θ ≤ 80°, in order of falling intensity:
Position (°2θ)  I/Imax  hkl
30.5  100.0  1 2 1
35.4  50.7  2 0 2
60.5  25.0  4 0 1
50.9  24.1  3 2 0
60.5  18.0  3 2 3
50.9  12.0  3 -2 0
63.4  6.2  2 4 2
63.6  6.2  4 0 -2
74.8  5.7  4 0 4


# Pr12SmTm5
Calculated powder diffraction line list, CuKα. Input: a structure optimized by DFT (PBE).
Lines closer than 0.1° are merged.

Cell and atoms:
Lattice parameters (Å, degrees): 10.927 5.177 10.944 90.00 90.46 90.00
Space group P2/m (No. 10)
Asymmetric unit:
Pr 0.002 0.000 0.168
Pr 0.166 0.500 0.666
Pr 0.170 0.500 0.003
Pr 0.332 0.000 0.498
Pr 0.337 0.000 0.837
Pr 0.497 0.500 0.330
Sm 0.000 0.000 0.500
Tm 0.167 0.500 0.333
Tm 0.333 0.000 0.167
Tm 0.500 0.500 0.000

Most intense lines, 10° ≤ 2θ ≤ 80°, in order of falling intensity:
Position (°2θ)  I/Imax  hkl
30.0  100.0  3 1 0
34.7  34.1  0 2 0
59.2  29.1  3 3 0
50.0  24.0  6 0 0
35.0  16.6  3 0 3
62.3  12.4  6 2 0
49.8  12.2  3 2 -3
59.6  7.1  3 1 6
59.7  7.0  6 1 3
73.1  3.9  0 4 0


# PrSm9Tm2
Calculated powder diffraction line list, CuKα. Input: a structure optimized by DFT (PBE).
Lines closer than 0.1° are merged.

Cell and atoms:
Lattice parameters (Å, degrees): 5.105 5.105 15.323 90.00 90.00 90.00
Space group P4/mmm (No. 123)
Asymmetric unit:
Pr 0.000 0.000 0.000
Sm 0.000 0.500 0.170
Sm 0.000 0.500 0.500
Sm 0.500 0.500 0.000
Sm 0.500 0.500 0.336
Tm 0.000 0.000 0.335

Most intense lines, 10° ≤ 2θ ≤ 80°, in order of falling intensity:
Position (°2θ)  I/Imax  hkl
30.3  100.0  1 1 3
35.2  50.6  2 0 0
60.1  42.9  3 1 3
50.6  36.1  2 2 0
63.1  12.4  2 2 6
74.3  5.7  4 0 0


# Pr2SmTm9
Calculated powder diffraction line list, CuKα. Input: a structure optimized by DFT (PBE).
Lines closer than 0.1° are merged.

Cell and atoms:
Lattice parameters (Å, degrees): 11.1948 11.1948 3.4950 90.00 90.00 120.00
Space group P6/mmm (No. 191)
Asymmetric unit:
Pr 0.3333 0.6667 0.0000
Sm 0.0000 0.0000 0.0000
Tm 0.0000 0.5000 0.0000
Tm 0.1750 0.3500 0.5000

Most intense lines, 10° ≤ 2θ ≤ 80°, in order of falling intensity:
Position (°2θ)  I/Imax  hkl
32.0  100.0  2 2 0
31.6  57.8  2 0 1
62.7  29.3  2 2 2
30.1  22.5  1 1 1
56.7  20.9  4 2 1
45.5  20.4  4 0 1
57.0  18.2  6 0 0
35.5  16.5  2 1 1
37.9  12.9  3 0 1
66.9  10.9  4 4 0


# PrSm12Tm6
Calculated powder diffraction line list, CuKα. Input: a structure optimized by DFT (PBE).
Lines closer than 0.1° are merged.

Cell and atoms:
Lattice parameters (Å, degrees): 12.0264 12.0264 15.2121 90.00 90.00 120.00
Space group R-3 (No. 148, hexagonal axes)
Asymmetric unit:
Pr 0.0000 0.0000 0.0000
Sm 0.0069 0.1769 0.1921
Sm 0.0456 0.1960 0.4165
Tm 0.0126 0.5859 0.6850

Most intense lines, 10° ≤ 2θ ≤ 80°, in order of falling intensity:
Position (°2θ)  I/Imax  hkl
31.5  100.0  4 -3 1
32.7  66.1  2 1 4
30.6  39.6  0 1 5
33.2  29.3  3 1 2
31.2  23.4  0 3 3
55.0  18.6  2 5 0
34.7  17.3  4 -2 3
57.9  12.7  1 5 5
44.8  12.5  3 2 4
52.7  9.9  6 0 0


# Pr5Sm2Tm2
Calculated powder diffraction line list, CuKα. Input: a structure optimized by DFT (PBE).
Lines closer than 0.1° are merged.

Cell and atoms:
Lattice parameters (Å, degrees): 15.468 5.162 8.165 90.00 108.74 90.00
Space group C2/m (No. 12)
Asymmetric unit:
Pr 0.000 0.000 0.000
Pr 0.166 0.500 0.001
Pr 0.223 0.000 0.336
Sm 0.108 0.000 0.665
Tm 0.055 0.500 0.338

Most intense lines, 10° ≤ 2θ ≤ 80°, in order of falling intensity:
Position (°2θ)  I/Imax  hkl
34.8  100.0  0 2 0
30.0  99.1  3 1 -2
30.1  98.2  3 1 1
59.4  57.0  3 3 1
50.0  47.8  0 2 3
59.6  28.2  9 1 0
62.2  12.3  6 2 -4
62.5  12.2  6 2 2
49.9  12.0  6 0 -4
50.2  11.8  6 0 2